Structure and simulated X-ray diffraction stick pattern of CaLa4Ni3WO12 (a crystal structure in Alexandria, relaxed with PBE+U; CuKα).

Largest 10 diffraction maxima, sorted by position, 10 to 80 degrees two-theta:
d [Å], 2θ (°), I/Imax, index
4.747, 18.69, 33, 1 0 1
2.986, 29.93, 100, 1 1 2
2.893, 30.91, 45, 0 2 0
2.806, 31.89, 41, 2 0 0
2.638, 33.98, 29, 0 1 3
2.014, 45.00, 50, 2 2 0
1.922, 47.29, 27, 2 1 3
1.688, 54.36, 20, 1 3 2
1.653, 55.61, 19, 3 1 2
1.286, 73.69, 15, 2 4 0

Cell and atoms:
```
data_CaLa4Ni3WO12
_chemical_formula_sum 'Ca1 La4 Ni3 W1 O12'
_symmetry_space_group_name_H-M 'P m m m'
_symmetry_Int_Tables_number 47
_symmetry_space_group_name_Hall '-P 2 2'
_cell_length_a 5.6129
_cell_length_b 5.7861
_cell_length_c 8.8938
_cell_angle_alpha 90.00
_cell_angle_beta 90.00
_cell_angle_gamma 90.00
loop_
_atom_site_label
_atom_site_type_symbol
_atom_site_fract_x
_atom_site_fract_y
_atom_site_fract_z
Ca1 Ca 0.0000 0.0000 0.0000
La1 La 0.0000 0.0000 0.3291
La2 La 0.5000 0.5000 0.2085
Ni1 Ni 0.0000 0.5000 0.0000
Ni2 Ni 0.0000 0.5000 0.5000
Ni3 Ni 0.5000 0.0000 0.5000
W1 W 0.5000 0.0000 0.0000
O1 O 0.0000 0.5000 0.2455
O2 O 0.2312 0.2237 0.5000
O3 O 0.2768 0.2813 0.0000
O4 O 0.5000 0.0000 0.2238
```


Structure and simulated X-ray diffraction stick pattern of CaLa4Ni3WO12 (a crystal structure in Alexandria, relaxed with PBE+U; CuKα).

Largest 10 diffraction maxima, sorted by position, 10 to 80 degrees two-theta:
d [Å], 2θ (°), I/Imax, index
4.735, 18.74, 39, 1 1 0
3.020, 29.58, 100, 1 2 1
2.867, 31.19, 46, 0 0 2
2.750, 32.56, 41, 2 0 0
2.729, 32.82, 38, 0 3 1
2.702, 33.15, 19, 1 3 0
1.985, 45.71, 49, 2 0 2
1.937, 46.91, 33, 2 3 -1
1.684, 54.50, 22, 1 2 -3
1.635, 56.27, 18, 3 2 -1

Cell and atoms:
```
data_CaLa4Ni3WO12
_chemical_formula_sum 'Ca1 La4 Ni3 W1 O12'
_symmetry_space_group_name_H-M 'P 1 2/m 1'
_symmetry_Int_Tables_number 10
_symmetry_space_group_name_Hall '-P 2y'
_cell_length_a 5.5000
_cell_length_b 9.3067
_cell_length_c 5.7347
_cell_angle_alpha 90.00
_cell_angle_beta 90.04
_cell_angle_gamma 90.00
loop_
_atom_site_label
_atom_site_type_symbol
_atom_site_fract_x
_atom_site_fract_y
_atom_site_fract_z
Ca1 Ca 0.0000 0.0000 0.0000
La1 La 0.0000 0.3235 0.0000
La2 La 0.5000 0.1894 0.5000
Ni1 Ni 0.0000 0.0000 0.5000
Ni2 Ni 0.5000 0.0000 0.0000
Ni3 Ni 0.5000 0.5000 0.0000
W1 W 0.0000 0.5000 0.5000
O1 O 0.0000 0.2748 0.5000
O2 O 0.2140 0.5000 0.7975
O3 O 0.2467 0.5000 0.2433
O4 O 0.2684 0.0000 0.2799
O5 O 0.2687 0.0000 0.7198
O6 O 0.5000 0.2418 0.0000
```